For SmGe3Pt3, DFT lattice parameters and positions (PBE) gives the computed XRD peak list in this record (Cu Kα X-rays).
Peak positions follow from Bragg's law for the DFT cell and can differ from measured ones.

Principal peaks in the range 10 to 80 degrees two-theta, in order of rising 2θ:
Position (°2θ)  I (rel.)
23.9  28
27.9  100
28.5  30
37.5  72
42.0  90
50.0  23
51.5  31
61.9  24

Structure:
Unit cell a=7.6035 b=7.6035 c=7.6035 alpha=58.67 beta=58.67 gamma=58.67
Positions (direct):
Sm  0.1653  0.1653  0.1653
Sm  0.8347  0.8347  0.8347
Ge  0.0403  0.3918  0.7453
Ge  0.2547  0.9597  0.6082
Ge  0.3918  0.7453  0.0403
Ge  0.6082  0.2547  0.9597
Ge  0.7453  0.0403  0.3918
Ge  0.9597  0.6082  0.2547
Pt  0.0982  0.7192  0.4095
Pt  0.2808  0.5905  0.9018
Pt  0.4095  0.0982  0.7192
Pt  0.5905  0.9018  0.2808
Pt  0.7192  0.4095  0.0982
Pt  0.9018  0.2808  0.5905

For Sm3Ge13Pt4, DFT lattice parameters and positions (PBE) gives the computed XRD peak list in this record (Cu Kα X-rays).
Peak positions follow from Bragg's law for the DFT cell and can differ from measured ones.

Principal peaks in the range 10 to 80 degrees two-theta, in order of rising 2θ:
Position (°2θ)  I (rel.)
19.4  72
33.9  100
35.2  69
35.4  61
36.7  37
39.3  100
44.1  37
48.7  76

Structure:
Unit cell a=9.1710 b=9.1710 c=9.1723 alpha=90.23 beta=90.23 gamma=89.78
Positions (direct):
Sm  0.0000  0.0000  0.0000
Sm  0.0000  0.0000  0.5000
Sm  0.2488  0.5002  0.2484
Sm  0.5002  0.2488  0.7484
Sm  0.4999  0.7487  0.7483
Sm  0.7487  0.4999  0.2483
Ge  0.0000  0.6107  0.0036
Ge  0.0013  0.3335  0.0936
Ge  0.0007  0.6209  0.4669
Ge  0.0040  0.5045  0.7450
Ge  0.1109  0.2464  0.7483
Ge  0.1206  0.7805  0.7476
Ge  0.1550  0.8339  0.2472
Ge  0.2464  0.1109  0.2483
Ge  0.2810  0.5008  0.6275
Ge  0.3264  0.9981  0.8925
Ge  0.3335  0.0013  0.5936
Ge  0.3557  0.4982  0.9219
Ge  0.4982  0.3557  0.4219
Ge  0.5000  0.7461  0.1381
Ge  0.5008  0.2810  0.1275
Ge  0.5013  0.6547  0.4149
Ge  0.5045  0.0040  0.2450
Ge  0.6107  0.0000  0.5036
Ge  0.6209  0.0007  0.9669
Ge  0.6547  0.5013  0.9149
Ge  0.7461  0.5000  0.6381
Ge  0.7805  0.1206  0.2476
Ge  0.8264  0.8557  0.7505
Ge  0.8339  0.1550  0.7472
Ge  0.8557  0.8264  0.2505
Ge  0.9981  0.3264  0.3925
Pt  0.2460  0.2491  0.4961
Pt  0.2491  0.2460  0.9961
Pt  0.2511  0.7512  0.4972
Pt  0.2522  0.7460  0.9994
Pt  0.7460  0.2522  0.4994
Pt  0.7489  0.7521  0.5028
Pt  0.7512  0.2511  0.9972
Pt  0.7521  0.7489  0.0028

For Sn3GePt12, DFT lattice parameters and positions (PBE) gives the computed XRD peak list in this record (Cu Kα X-rays).
Peak positions follow from Bragg's law for the DFT cell and can differ from measured ones.

Principal peaks in the range 10 to 80 degrees two-theta, in order of rising 2θ:
Position (°2θ)  I (rel.)
22.0  4
31.3  4
38.6  100
44.8  33
45.0  16
65.3  32
78.5  26
78.7  12

Structure:
Unit cell a=4.0425 b=4.0425 c=16.1305 alpha=90.00 beta=90.00 gamma=90.00
Positions (direct):
Sn  0.0000  0.0000  0.0000
Sn  0.0000  0.0000  0.2529
Sn  0.0000  0.0000  0.7471
Ge  0.0000  0.0000  0.5000
Pt  0.0000  0.5000  0.1266
Pt  0.0000  0.5000  0.3803
Pt  0.0000  0.5000  0.6197
Pt  0.0000  0.5000  0.8734
Pt  0.5000  0.0000  0.1266
Pt  0.5000  0.0000  0.3803
Pt  0.5000  0.0000  0.6197
Pt  0.5000  0.0000  0.8734
Pt  0.5000  0.5000  0.0000
Pt  0.5000  0.5000  0.2535
Pt  0.5000  0.5000  0.5000
Pt  0.5000  0.5000  0.7465

For Sr2Ge2Pt, DFT lattice parameters and positions (PBE) gives the computed XRD peak list in this record (Cu Kα X-rays).
Peak positions follow from Bragg's law for the DFT cell and can differ from measured ones.

Principal peaks in the range 10 to 80 degrees two-theta, in order of rising 2θ:
Position (°2θ)  I (rel.)
16.8  39
30.3  68
30.7  100
31.3  22
38.9  32
39.2  53
40.8  39
59.1  25

Structure:
Unit cell a=6.2505 b=6.2505 c=11.3096 alpha=114.01 beta=114.01 gamma=41.42
Positions (direct):
Sr  0.1016  0.1016  0.3976
Sr  0.2889  0.2889  0.8513
Sr  0.7111  0.7111  0.1487
Sr  0.8984  0.8984  0.6024
Ge  0.0395  0.0395  0.9137
Ge  0.3930  0.3930  0.3872
Ge  0.6070  0.6070  0.6128
Ge  0.9605  0.9605  0.0863
Pt  0.4403  0.4403  0.1864
Pt  0.5597  0.5597  0.8136

For Sr2Ge7Pt12, DFT lattice parameters and positions (PBE) gives the computed XRD peak list in this record (Cu Kα X-rays).
Peak positions follow from Bragg's law for the DFT cell and can differ from measured ones.

Principal peaks in the range 10 to 80 degrees two-theta, in order of rising 2θ:
Position (°2θ)  I (rel.)
17.2  16
34.7  100
42.9  24
44.3  21
45.1  21
46.7  21
65.0  13
66.9  14

Structure:
Unit cell a=10.2978 b=10.2978 c=4.0230 alpha=90.00 beta=90.00 gamma=120.00
Positions (direct):
Sr  0.0000  0.0000  0.0000
Sr  0.3333  0.6667  0.5000
Ge  0.0691  0.4546  0.0000
Ge  0.2612  0.2212  0.5000
Ge  0.3855  0.9309  0.0000
Ge  0.5454  0.6145  0.0000
Ge  0.6667  0.3333  0.0000
Ge  0.7788  0.0399  0.5000
Ge  0.9601  0.7388  0.5000
Pt  0.0449  0.2710  0.5000
Pt  0.1156  0.7191  0.0000
Pt  0.2261  0.9551  0.5000
Pt  0.2809  0.3965  0.0000
Pt  0.3947  0.1815  0.0000
Pt  0.5266  0.4401  0.5000
Pt  0.5599  0.0865  0.5000
Pt  0.6035  0.8844  0.0000
Pt  0.7290  0.7739  0.5000
Pt  0.7868  0.6053  0.0000
Pt  0.8185  0.2132  0.0000
Pt  0.9135  0.4734  0.5000

For Sr3Ge5Pt6, DFT lattice parameters and positions (PBE) gives the computed XRD peak list in this record (Cu Kα X-rays).
Peak positions follow from Bragg's law for the DFT cell and can differ from measured ones.

Principal peaks in the range 10 to 80 degrees two-theta, in order of rising 2θ:
Position (°2θ)  I (rel.)
16.4  48
32.5  18
32.9  23
34.4  100
42.3  18
42.4  22
43.4  36
45.3  44

Structure:
Unit cell a=4.1685 b=12.7800 c=10.8101 alpha=90.00 beta=90.00 gamma=90.00
Positions (direct):
Sr  0.2500  0.0980  0.2464
Sr  0.2500  0.4020  0.2464
Sr  0.2500  0.7500  0.2391
Sr  0.7500  0.2500  0.7609
Sr  0.7500  0.5980  0.7536
Sr  0.7500  0.9020  0.7536
Ge  0.2500  0.0757  0.6457
Ge  0.2500  0.4243  0.6457
Ge  0.2500  0.6227  0.9865
Ge  0.2500  0.7500  0.6107
Ge  0.2500  0.8773  0.9865
Ge  0.7500  0.1227  0.0135
Ge  0.7500  0.2500  0.3893
Ge  0.7500  0.3773  0.0135
Ge  0.7500  0.5757  0.3543
Ge  0.7500  0.9243  0.3543
Pt  0.2500  0.0533  0.8802
Pt  0.2500  0.2500  0.5206
Pt  0.2500  0.2500  0.9987
Pt  0.2500  0.4467  0.8802
Pt  0.2500  0.5801  0.4888
Pt  0.2500  0.9199  0.4888
Pt  0.7500  0.0801  0.5112
Pt  0.7500  0.4199  0.5112
Pt  0.7500  0.5533  0.1198
Pt  0.7500  0.7500  0.0013
Pt  0.7500  0.7500  0.4794
Pt  0.7500  0.9467  0.1198

For TbGe2Pt7, DFT lattice parameters and positions (PBE) gives the computed XRD peak list in this record (Cu Kα X-rays).
Peak positions follow from Bragg's law for the DFT cell and can differ from measured ones.

Principal peaks in the range 10 to 80 degrees two-theta, in order of rising 2θ:
Position (°2θ)  I (rel.)
30.8  24
32.1  18
34.8  17
35.5  23
40.7  100
44.2  53
64.3  17
79.0  30

Structure:
Unit cell a=10.7006 b=10.7006 c=10.7006 alpha=157.92 beta=157.92 gamma=31.43
Positions (direct):
Tb  0.0000  0.0000  0.0000
Ge  0.3246  0.3246  0.0000
Ge  0.6754  0.6754  0.0000
Pt  0.1034  0.6034  0.5000
Pt  0.2500  0.7500  0.5000
Pt  0.3966  0.8966  0.5000
Pt  0.5000  0.5000  0.0000
Pt  0.6034  0.1034  0.5000
Pt  0.7500  0.2500  0.5000
Pt  0.8966  0.3966  0.5000

For TbGePt6, DFT lattice parameters and positions (PBE) gives the computed XRD peak list in this record (Cu Kα X-rays).
Peak positions follow from Bragg's law for the DFT cell and can differ from measured ones.

Principal peaks in the range 10 to 80 degrees two-theta, in order of rising 2θ:
Position (°2θ)  I (rel.)
21.9  2
38.5  100
44.6  34
45.0  15
64.9  11
65.2  21
78.0  26
78.6  11

Structure:
Unit cell a=4.0658 b=4.0658 c=8.0561 alpha=90.00 beta=90.00 gamma=90.00
Positions (direct):
Tb  0.0000  0.0000  0.0000
Ge  0.0000  0.0000  0.5000
Pt  0.0000  0.5000  0.2628
Pt  0.0000  0.5000  0.7372
Pt  0.5000  0.0000  0.2628
Pt  0.5000  0.0000  0.7372
Pt  0.5000  0.5000  0.0000
Pt  0.5000  0.5000  0.5000